Starting from a crystal structure in Alexandria, relaxed with PBE, the powder diffractogram of PrSm12Tm7 was computed for Cu Kα, 1.54184 Å.

Peak list (6 most intense, 10 to 90 degrees two-theta, in order of rising 2θ)
- hkl 2 -1 3, 29.05 deg, intensity 35
- hkl 1 4 0, 31.35 deg, intensity 100
- hkl 0 3 3, 33.64 deg, intensity 42
- hkl 4 -2 3, 35.74 deg, intensity 30
- hkl 6 3 0, 55.82 deg, intensity 19
- hkl 5 -1 6, 64.26 deg, intensity 18

Cell: 15.0972 15.0972 10.0981 Å, 90.00 90.00 120.00°
Space group R-3 (No. 148, hexagonal axes)
Inequivalent atoms, fractional coordinates:
Pr1 0.0000 0.0000 0.0000
Sm1 0.0467 0.2034 0.2501
Sm2 0.0498 0.2463 0.5779
Tm1 0.0000 0.0000 0.5000
Tm2 0.0650 0.2461 0.9236